# 1
# HoTiSi
Simulated X-ray powder pattern, Cu Kα (λ = 1.5418 Å). Input: a crystal structure in the Materials Project, relaxed with GGA-PBE.

Structural model:
```
HoTiSi
1.0
4.0209 0.0000 0.0000
0.0000 4.0209 0.0000
0.0000 0.0000 7.5407
Ho Ti Si
2 2 2
Cartesian
1.0052 1.0052 1.1740
3.0157 3.0157 6.3668
1.0052 3.0157 3.7704
3.0157 1.0052 3.7704
1.0052 1.0052 5.5753
3.0157 3.0157 1.9655
```

Peak list (8 most intense, 2θ = 5–70°, in order of falling intensity)
d_spacing, Position (°2θ), Rel. int.
2.750, 32.6, 100.0
3.548, 25.1, 89.6
2.660, 33.7, 71.4
2.010, 45.1, 47.7
2.843, 31.5, 47.3
2.270, 39.7, 45.2
1.570, 58.8, 44.4
1.623, 56.7, 41.4

=====

# 2
# V3Bi
Simulated X-ray powder pattern, Cu Kα (λ = 1.5418 Å). Input: a crystal structure in the Materials Project, relaxed with GGA-PBE.

Structural model:
```
V3Bi
1.0
5.0266 0.0000 0.0000
0.0000 5.0266 0.0000
0.0000 0.0000 5.0266
V Bi
6 2
Cartesian
0.0000 1.2567 2.5133
0.0000 3.7700 2.5133
1.2567 2.5133 0.0000
2.5133 0.0000 1.2567
2.5133 0.0000 3.7700
3.7700 2.5133 0.0000
0.0000 0.0000 0.0000
2.5133 2.5133 2.5133
```

Peak list (8 most intense, 2θ = 5–70°, in order of falling intensity)
d_spacing, Position (°2θ), Rel. int.
2.052, 44.1, 100.0
3.554, 25.1, 79.6
2.513, 35.7, 45.0
2.248, 40.1, 19.4
1.590, 58.0, 18.0
1.777, 51.4, 12.7
1.394, 67.1, 3.6
1.451, 64.2, 0.9

=====

# 3
# Na2O9
Simulated X-ray powder pattern, Cu Kα (λ = 1.5418 Å). Input: a crystal structure in the Materials Project, relaxed with GGA-PBE.

Structural model:
```
Na2O9
1.0
5.2028 0.0000 0.0000
0.0000 11.2599 0.0000
-3.9898 0.0000 12.1368
Na O
8 36
Cartesian
-0.0500 1.9795 2.0625
-2.0449 3.6504 8.1309
0.5463 6.9396 1.2062
-1.4486 9.9502 7.2746
2.6617 1.3097 4.8622
0.6668 4.3203 10.9306
3.2579 7.6095 4.0059
1.2630 9.2804 10.0743
-2.0016 6.2717 6.1131
-0.0067 10.6182 0.0447
-2.7070 0.9728 8.4676
-0.7121 4.6571 2.3992
-2.2260 0.8990 7.2612
-0.2311 4.7310 1.1927
-2.1940 2.6138 10.6753
-0.1991 3.0161 4.6069
0.2450 0.2593 3.9735
-1.7499 5.3707 10.0419
0.3850 8.0229 3.6875
-1.6099 8.8670 9.7559
-0.0388 0.5543 5.1914
-2.0337 5.0757 11.2598
-1.9527 1.4970 11.1892
0.0422 4.1329 5.1208
0.9897 6.8775 3.8597
-1.0052 10.0123 9.9281
2.2182 1.2476 2.2087
0.2234 4.3824 8.2771
1.1708 7.1270 7.0160
3.1657 9.7629 0.9476
3.2468 6.1842 0.8770
1.2519 10.7056 6.9454
2.8229 2.3929 2.3809
0.8280 3.2370 8.4493
2.9629 5.8892 2.0950
0.9680 11.0006 8.1634
1.4121 8.2438 7.5299
3.4070 8.6461 1.4615
1.4441 6.5289 10.9441
3.4390 10.3609 4.8757
1.9251 6.6028 9.7376
3.9200 10.2871 3.6692
1.2198 0.6417 12.0921
3.2147 4.9882 6.0237
```

Peak list (8 most intense, 2θ = 5–70°, in order of falling intensity)
d_spacing, Position (°2θ), Rel. int.
2.930, 30.5, 100.0
3.810, 23.3, 78.7
3.037, 29.4, 75.6
2.523, 35.6, 74.2
5.107, 17.4, 53.4
2.589, 34.7, 47.9
2.752, 32.5, 47.0
2.659, 33.7, 45.8

=====

# 4
# CeNi12B6
Simulated X-ray powder pattern, Cu Kα (λ = 1.5418 Å). Input: a crystal structure in the Materials Project, relaxed with GGA-PBE.

Structural model:
```
CeNi12B6
1.0
4.7845 -3.6841 0.0000
4.7845 3.6841 0.0000
0.0000 0.0000 10.9836
Ce Ni B
2 24 12
Cartesian
4.7845 2.4459 5.4918
4.7845 -2.4459 0.0000
3.0404 2.3024 10.3260
1.2742 0.0938 8.3281
1.2742 -0.0938 2.8363
3.5328 1.2746 8.0937
3.5385 1.1677 3.0709
4.7845 2.0718 1.1074
2.9268 0.2684 0.7778
2.9268 -0.2684 6.2697
6.5286 2.3024 10.3260
4.7845 0.4709 10.1234
6.0362 1.2746 8.0937
6.0305 1.1677 3.0709
3.5385 -1.1677 8.5627
3.5328 -1.2746 2.6019
4.7845 -0.4709 4.6316
3.0404 -2.3024 4.8342
6.6422 0.2684 0.7778
6.6422 -0.2684 6.2697
4.7845 -2.0718 6.5992
6.0305 -1.1677 8.5627
6.0362 -1.2746 2.6019
8.2948 0.0938 8.3281
8.2948 -0.0938 2.8363
6.5286 -2.3024 4.8342
1.9730 1.4209 6.8700
4.7845 2.4804 9.2126
2.7250 0.2940 9.7602
2.7250 -0.2940 4.2684
1.9730 -1.4209 1.3782
4.7845 0.0946 1.7409
4.7845 -0.0946 7.2327
7.5960 1.4209 6.8700
6.8440 0.2940 9.7602
6.8440 -0.2940 4.2684
4.7845 -2.4804 3.7207
7.5960 -1.4209 1.3782
```

Peak list (8 most intense, 2θ = 5–70°, in order of falling intensity)
d_spacing, Position (°2θ), Rel. int.
2.183, 41.4, 100.0
2.193, 41.2, 74.7
2.285, 39.4, 64.8
2.825, 31.7, 52.7
2.580, 34.8, 49.1
2.056, 44.0, 40.7
1.510, 61.4, 27.5
2.746, 32.6, 26.9

=====

# 5
# NaSeO3
Simulated X-ray powder pattern, Cu Kα (λ = 1.5418 Å). Input: a crystal structure in the Materials Project, relaxed with GGA-PBE.

Structural model:
```
NaSeO3
1.0
11.3524 -3.2426 0.0000
11.3524 3.2426 0.0000
-0.1582 0.0000 10.8772
Na Se O
8 8 24
Cartesian
8.2310 1.7792 6.8408
4.9976 0.0499 7.0447
5.0766 -0.0499 1.6061
14.2365 1.7792 9.4750
8.3101 -1.7792 1.4022
17.4699 0.0499 9.2712
17.5490 -0.0499 3.8326
14.3156 -1.7792 4.0364
9.7875 2.6047 9.6726
12.6800 2.6047 6.6433
7.3403 0.4021 9.9791
7.4194 -0.4021 4.5405
15.1272 0.4021 6.3367
15.2063 -0.4021 0.8981
9.8666 -2.6047 4.2340
12.7591 -2.6047 1.2047
1.5158 0.0771 5.1622
1.4367 -0.0771 10.6008
2.6068 0.0714 2.2097
7.0345 1.2815 0.4244
2.5277 -0.0714 7.6483
7.1238 1.2085 4.8282
6.6209 0.9397 8.5598
9.0600 0.6026 9.7703
6.7000 -0.9397 3.1212
15.5912 1.2815 5.0142
15.5019 1.2085 0.6104
9.1391 -0.6026 4.3316
13.4075 0.6026 6.5456
7.0447 -1.2085 10.2668
6.9554 -1.2815 5.8630
15.8465 0.9397 7.7560
13.4866 -0.6026 1.1070
15.9256 -0.9397 2.3174
15.4228 -1.2085 6.0491
20.0188 0.0714 3.2290
15.5121 -1.2815 10.4528
19.9397 -0.0714 8.6676
21.1099 0.0771 0.2764
21.0308 -0.0771 5.7150
```

Peak list (8 most intense, 2θ = 5–70°, in order of falling intensity)
d_spacing, Position (°2θ), Rel. int.
4.928, 18.0, 100.0
5.400, 16.4, 48.9
4.877, 18.2, 43.4
3.053, 29.3, 34.1
3.668, 24.3, 23.3
2.720, 32.9, 21.7
3.128, 28.5, 21.2
3.719, 23.9, 21.2

=====

# 6
# SiO2
Simulated X-ray powder pattern, Cu Kα (λ = 1.5418 Å). Input: a crystal structure in the Materials Project, relaxed with GGA-PBE.

Structural model:
```
SiO2
1.0
4.9477 0.0000 0.0000
2.4738 7.7230 0.0000
2.4738 0.0000 10.3837
Si O
8 16
Cartesian
0.0000 0.0000 0.0000
3.7798 5.8111 7.9251
3.6965 5.7914 5.1151
2.4773 1.9609 2.8147
5.0232 1.9852 10.3672
6.2383 3.8688 7.9379
6.3176 3.8265 5.1815
7.5581 7.7108 2.8051
3.1256 6.8067 3.9651
1.8886 2.9455 3.9479
2.5381 6.8160 1.4085
3.7927 6.7485 6.5600
4.4198 6.7461 9.1132
1.2775 0.9759 2.4375
3.7396 0.9854 9.8819
2.5399 2.8838 1.3311
5.0356 4.8605 7.6146
5.0086 4.8585 4.6839
5.6594 2.8690 9.1350
3.7386 0.9345 3.1898
3.7242 0.9614 0.3116
6.2064 2.9640 6.5845
7.4878 4.7879 8.3579
7.5144 4.8143 5.4887
```

Peak list (8 most intense, 2θ = 5–70°, in order of falling intensity)
d_spacing, Position (°2θ), Rel. int.
6.197, 14.3, 100.0
3.516, 25.3, 58.6
4.595, 19.3, 36.4
3.159, 28.3, 22.5
1.964, 46.2, 15.4
2.706, 33.1, 7.2
1.784, 51.2, 6.8
1.393, 67.2, 6.7